Record 1
Structure and calculated powder XRD pattern of LiMn2S4 (the PBE geometry in the Materials Project; CuKα).
Kinematic intensities with the Lorentz-polarization factor, no thermal factor.

Top 10 peaks for 2θ = 5–70°, low angle first:
| two_theta | d/Å | Rel. int. |
| --- | --- | --- |
| 15.75 | 5.627 | 100 |
| 30.40 | 2.940 | 27 |
| 36.84 | 2.440 | 78 |
| 36.99 | 2.430 | 39 |
| 40.34 | 2.236 | 8 |
| 48.48 | 1.878 | 15 |
| 53.09 | 1.725 | 24 |
| 53.20 | 1.722 | 48 |
| 55.76 | 1.649 | 12 |
| 66.46 | 1.407 | 23 |

Atomic structure:
a b c (Å): 6.887 6.887 6.887
angles (deg): 119.91 119.83 90.22
Fractional coordinates of all 14 atoms:
Li1 0.500 0.000 0.000
Li2 0.500 0.500 0.500
Mn1 0.000 0.000 0.000
Mn2 0.000 0.000 0.500
Mn3 0.000 0.500 0.000
Mn4 0.500 0.000 0.500
S1 0.222 0.242 0.981
S2 0.239 0.758 0.481
S3 0.241 0.223 0.482
S4 0.241 0.758 0.018
S5 0.759 0.242 0.982
S6 0.759 0.777 0.518
S7 0.761 0.242 0.519
S8 0.778 0.758 0.019


Record 2
Structure and calculated powder XRD pattern of MnS2 (the PBE geometry in the Materials Project; CuKα).
Kinematic intensities with the Lorentz-polarization factor, no thermal factor.

Top 9 peaks for 2θ = 5–70°, low angle first:
| two_theta | d/Å | Rel. int. |
| --- | --- | --- |
| 27.98 | 3.189 | 37 |
| 32.42 | 2.762 | 79 |
| 36.37 | 2.470 | 60 |
| 39.99 | 2.255 | 48 |
| 46.51 | 1.953 | 46 |
| 55.15 | 1.665 | 100 |
| 57.83 | 1.594 | 15 |
| 60.43 | 1.532 | 15 |
| 62.97 | 1.476 | 23 |

Atomic structure:
a b c (Å): 5.523 5.523 5.523
angles (deg): 90.00 90.00 90.00
Fractional coordinates of all 12 atoms:
Mn1 0.000 0.000 0.000
Mn2 0.000 0.500 0.500
Mn3 0.500 0.000 0.500
Mn4 0.500 0.500 0.000
S1 0.119 0.619 0.881
S2 0.119 0.881 0.381
S3 0.381 0.119 0.881
S4 0.381 0.381 0.381
S5 0.619 0.619 0.619
S6 0.619 0.881 0.119
S7 0.881 0.119 0.619
S8 0.881 0.381 0.119


Record 3
Structure and calculated powder XRD pattern of CaSn4O6 (the PBE geometry in the Materials Project; CuKα).
Kinematic intensities with the Lorentz-polarization factor, no thermal factor.

Top 10 peaks for 2θ = 5–70°, low angle first:
| two_theta | d/Å | Rel. int. |
| --- | --- | --- |
| 29.31 | 3.047 | 23 |
| 30.10 | 2.969 | 100 |
| 31.47 | 2.843 | 44 |
| 32.66 | 2.742 | 24 |
| 36.45 | 2.465 | 42 |
| 37.54 | 2.396 | 39 |
| 39.30 | 2.293 | 30 |
| 49.96 | 1.825 | 25 |
| 53.93 | 1.700 | 35 |
| 63.02 | 1.475 | 26 |

Atomic structure:
a b c (Å): 5.742 5.742 17.659
angles (deg): 90.00 90.00 145.56
Fractional coordinates of all 22 atoms:
Ca1 0.177 0.823 0.750
Ca2 0.823 0.177 0.250
Sn1 0.096 0.904 0.140
Sn2 0.096 0.904 0.360
Sn3 0.357 0.643 0.054
Sn4 0.357 0.643 0.446
Sn5 0.643 0.357 0.554
Sn6 0.643 0.357 0.946
Sn7 0.904 0.096 0.640
Sn8 0.904 0.096 0.860
O1 0.000 0.000 0.000
O2 0.000 0.000 0.500
O3 0.166 0.834 0.250
O4 0.268 0.732 0.627
O5 0.268 0.732 0.873
O6 0.456 0.544 0.163
O7 0.456 0.544 0.337
O8 0.544 0.456 0.663
O9 0.544 0.456 0.837
O10 0.732 0.268 0.127
O11 0.732 0.268 0.373
O12 0.834 0.166 0.750


Record 4
Structure and calculated powder XRD pattern of K4Hg3Ge20 (the PBE geometry in the Materials Project; CuKα).
Kinematic intensities with the Lorentz-polarization factor, no thermal factor.

Top 10 peaks for 2θ = 5–70°, low angle first:
| two_theta | d/Å | Rel. int. |
| --- | --- | --- |
| 17.85 | 4.970 | 100 |
| 27.81 | 3.208 | 63 |
| 30.09 | 2.970 | 98 |
| 32.22 | 2.778 | 22 |
| 33.24 | 2.695 | 17 |
| 37.07 | 2.425 | 48 |
| 43.87 | 2.064 | 28 |
| 47.72 | 1.906 | 65 |
| 49.19 | 1.852 | 20 |
| 50.63 | 1.803 | 49 |

Atomic structure:
a b c (Å): 11.113 11.113 11.113
angles (deg): 90.00 90.00 90.00
Fractional coordinates of all 54 atoms:
K1 0.000 0.000 0.000
K2 0.000 0.250 0.500
K3 0.000 0.750 0.500
K4 0.250 0.500 0.000
K5 0.500 0.000 0.250
K6 0.500 0.000 0.750
K7 0.500 0.500 0.500
K8 0.750 0.500 0.000
Hg1 0.000 0.500 0.250
Hg2 0.000 0.500 0.750
Hg3 0.250 0.000 0.500
Hg4 0.500 0.250 0.000
Hg5 0.500 0.750 0.000
Hg6 0.750 0.000 0.500
Ge1 0.000 0.301 0.113
Ge2 0.000 0.301 0.887
Ge3 0.000 0.699 0.113
Ge4 0.000 0.699 0.887
Ge5 0.113 0.000 0.301
Ge6 0.113 0.000 0.699
Ge7 0.183 0.183 0.183
Ge8 0.183 0.183 0.817
Ge9 0.183 0.817 0.183
Ge10 0.183 0.817 0.817
Ge11 0.199 0.500 0.387
Ge12 0.199 0.500 0.613
Ge13 0.301 0.113 0.000
Ge14 0.301 0.887 0.000
Ge15 0.317 0.317 0.317
Ge16 0.317 0.317 0.683
Ge17 0.317 0.683 0.317
Ge18 0.317 0.683 0.683
Ge19 0.387 0.199 0.500
Ge20 0.387 0.801 0.500
Ge21 0.500 0.387 0.199
Ge22 0.500 0.387 0.801
Ge23 0.500 0.613 0.199
Ge24 0.500 0.613 0.801
Ge25 0.613 0.199 0.500
Ge26 0.613 0.801 0.500
Ge27 0.683 0.317 0.317
Ge28 0.683 0.317 0.683
Ge29 0.683 0.683 0.317
Ge30 0.683 0.683 0.683
Ge31 0.699 0.113 0.000
Ge32 0.699 0.887 0.000
Ge33 0.801 0.500 0.387
Ge34 0.801 0.500 0.613
Ge35 0.817 0.183 0.183
Ge36 0.817 0.183 0.817
Ge37 0.817 0.817 0.183
Ge38 0.817 0.817 0.817
Ge39 0.887 0.000 0.301
Ge40 0.887 0.000 0.699


Record 5
Structure and calculated powder XRD pattern of SrCu2SnS4 (the PBE geometry in the Materials Project; CuKα).
Kinematic intensities with the Lorentz-polarization factor, no thermal factor.

Top 10 peaks for 2θ = 5–70°, low angle first:
| two_theta | d/Å | Rel. int. |
| --- | --- | --- |
| 16.12 | 5.497 | 9 |
| 17.09 | 5.188 | 11 |
| 23.56 | 3.776 | 13 |
| 28.09 | 3.177 | 100 |
| 33.05 | 2.710 | 15 |
| 37.00 | 2.429 | 17 |
| 40.15 | 2.246 | 22 |
| 49.68 | 1.835 | 32 |
| 50.13 | 1.820 | 12 |
| 52.97 | 1.729 | 16 |

Atomic structure:
a b c (Å): 6.347 6.347 15.589
angles (deg): 90.00 90.00 120.00
Fractional coordinates of all 24 atoms:
Sr1 0.000 0.563 0.333
Sr2 0.437 0.437 0.000
Sr3 0.563 0.000 0.667
Cu1 0.073 0.636 0.088
Cu2 0.364 0.437 0.754
Cu3 0.437 0.364 0.246
Cu4 0.563 0.927 0.421
Cu5 0.636 0.073 0.912
Cu6 0.927 0.563 0.579
Sn1 0.000 0.705 0.833
Sn2 0.295 0.295 0.500
Sn3 0.705 0.000 0.167
S1 0.045 0.486 0.713
S2 0.117 0.353 0.171
S3 0.236 0.883 0.505
S4 0.353 0.117 0.829
S5 0.441 0.955 0.046
S6 0.486 0.045 0.287
S7 0.514 0.559 0.379
S8 0.559 0.514 0.621
S9 0.647 0.764 0.838
S10 0.764 0.647 0.162
S11 0.883 0.236 0.495
S12 0.955 0.441 0.954


Record 6
Structure and calculated powder XRD pattern of KCaHfBiO6 (the PBE geometry in the Materials Project; CuKα).
Kinematic intensities with the Lorentz-polarization factor, no thermal factor.

Top 10 peaks for 2θ = 5–70°, low angle first:
| two_theta | d/Å | Rel. int. |
| --- | --- | --- |
| 18.46 | 4.807 | 1 |
| 21.34 | 4.163 | 70 |
| 30.36 | 2.944 | 100 |
| 35.77 | 2.511 | 1 |
| 37.41 | 2.404 | 8 |
| 43.47 | 2.082 | 31 |
| 48.92 | 1.862 | 33 |
| 53.95 | 1.700 | 41 |
| 63.17 | 1.472 | 19 |
| 67.49 | 1.388 | 16 |

Atomic structure:
a b c (Å): 5.888 5.888 5.888
angles (deg): 60.00 60.00 60.00
Fractional coordinates of all 10 atoms:
K1 0.000 0.000 0.000
Ca1 0.500 0.500 0.500
Hf1 0.250 0.250 0.250
Bi1 0.750 0.750 0.750
O1 0.003 0.003 0.497
O2 0.003 0.497 0.003
O3 0.003 0.497 0.497
O4 0.497 0.003 0.003
O5 0.497 0.003 0.497
O6 0.497 0.497 0.003


Record 7
Structure and calculated powder XRD pattern of Sr3Cu2O4F4 (the PBE geometry in the Materials Project; CuKα).
Kinematic intensities with the Lorentz-polarization factor, no thermal factor.

Top 10 peaks for 2θ = 5–70°, low angle first:
| two_theta | d/Å | Rel. int. |
| --- | --- | --- |
| 7.56 | 11.690 | 22 |
| 30.26 | 2.954 | 100 |
| 33.25 | 2.694 | 68 |
| 35.75 | 2.512 | 35 |
| 40.71 | 2.216 | 37 |
| 46.62 | 1.948 | 21 |
| 47.74 | 1.905 | 49 |
| 57.57 | 1.601 | 32 |
| 58.46 | 1.579 | 21 |
| 68.94 | 1.362 | 24 |

Atomic structure:
a b c (Å): 11.997 11.997 11.997
angles (deg): 161.72 161.72 25.96
Fractional coordinates of all 13 atoms:
Sr1 0.000 0.000 0.000
Sr2 0.172 0.172 0.000
Sr3 0.828 0.828 0.000
Cu1 0.410 0.410 0.000
Cu2 0.590 0.590 0.000
O1 0.092 0.592 0.500
O2 0.408 0.908 0.500
O3 0.586 0.086 0.500
O4 0.914 0.414 0.500
F1 0.321 0.321 0.000
F2 0.500 0.500 0.000
F3 0.679 0.679 0.000
F4 0.750 0.250 0.500


Record 8
Structure and calculated powder XRD pattern of Ni9S10 (the PBE geometry in the Materials Project; CuKα).
Kinematic intensities with the Lorentz-polarization factor, no thermal factor.

Top 10 peaks for 2θ = 5–70°, low angle first:
| two_theta | d/Å | Rel. int. |
| --- | --- | --- |
| 30.07 | 2.972 | 100 |
| 30.29 | 2.951 | 49 |
| 46.20 | 1.965 | 47 |
| 46.39 | 1.957 | 42 |
| 46.81 | 1.941 | 41 |
| 47.12 | 1.929 | 44 |
| 47.27 | 1.923 | 44 |
| 53.27 | 1.720 | 43 |
| 53.63 | 1.709 | 42 |
| 53.71 | 1.707 | 41 |

Atomic structure:
a b c (Å): 5.949 6.139 7.793
angles (deg): 100.30 111.15 90.94
Fractional coordinates of all 19 atoms:
Ni1 0.000 0.000 0.000
Ni2 0.097 0.689 0.187
Ni3 0.184 0.396 0.401
Ni4 0.314 0.103 0.614
Ni5 0.413 0.779 0.812
Ni6 0.587 0.221 0.188
Ni7 0.686 0.897 0.386
Ni8 0.816 0.604 0.599
Ni9 0.903 0.311 0.813
S1 0.023 0.953 0.699
S2 0.187 0.448 0.702
S3 0.211 0.348 0.109
S4 0.377 0.864 0.097
S5 0.418 0.748 0.503
S6 0.582 0.252 0.497
S7 0.623 0.136 0.903
S8 0.789 0.652 0.891
S9 0.813 0.552 0.298
S10 0.977 0.047 0.301


Record 9
Structure and calculated powder XRD pattern of SrH2 (the PBE geometry in the Materials Project; CuKα).
Kinematic intensities with the Lorentz-polarization factor, no thermal factor.

Top 10 peaks for 2θ = 5–70°, low angle first:
| two_theta | d/Å | Rel. int. |
| --- | --- | --- |
| 25.00 | 3.561 | 25 |
| 29.51 | 3.027 | 100 |
| 31.13 | 2.873 | 20 |
| 40.33 | 2.236 | 16 |
| 44.04 | 2.056 | 24 |
| 51.31 | 1.781 | 4 |
| 53.91 | 1.701 | 18 |
| 54.38 | 1.687 | 18 |
| 54.91 | 1.672 | 24 |
| 61.24 | 1.514 | 4 |

Atomic structure:
a b c (Å): 4.112 4.112 5.747
angles (deg): 90.00 90.00 120.00
Fractional coordinates of all 6 atoms:
Sr1 0.333 0.667 0.250
Sr2 0.667 0.333 0.750
H1 0.000 0.000 0.000
H2 0.000 0.000 0.500
H3 0.333 0.667 0.750
H4 0.667 0.333 0.250


Record 10
Structure and calculated powder XRD pattern of K2MgZn4P4H2O16 (the PBE geometry in the Materials Project; CuKα).
Kinematic intensities with the Lorentz-polarization factor, no thermal factor.

Top 10 peaks for 2θ = 5–70°, low angle first:
| two_theta | d/Å | Rel. int. |
| --- | --- | --- |
| 8.95 | 9.875 | 100 |
| 15.67 | 5.655 | 70 |
| 19.38 | 4.580 | 65 |
| 22.35 | 3.977 | 37 |
| 23.23 | 3.829 | 30 |
| 24.80 | 3.590 | 31 |
| 24.98 | 3.564 | 27 |
| 27.39 | 3.256 | 41 |
| 29.58 | 3.020 | 31 |
| 32.29 | 2.773 | 46 |

Atomic structure:
a b c (Å): 5.378 9.000 10.294
angles (deg): 73.60 86.14 74.79
Fractional coordinates of all 29 atoms:
K1 0.000 0.000 0.000
K2 0.285 0.611 0.473
Mg1 0.662 0.747 0.214
Zn1 0.358 0.386 0.855
Zn2 0.577 0.667 0.937
Zn3 0.718 0.929 0.516
Zn4 0.934 0.207 0.608
P1 0.125 0.524 0.100
P2 0.173 0.074 0.366
P3 0.500 0.056 0.775
P4 0.795 0.539 0.690
H1 0.130 0.378 0.316
H2 0.161 0.212 0.151
O1 0.046 0.226 0.417
O2 0.064 0.932 0.441
O3 0.082 0.507 0.724
O4 0.094 0.121 0.210
O5 0.198 0.471 0.257
O6 0.212 0.090 0.741
O7 0.226 0.378 0.042
O8 0.243 0.664 0.030
O9 0.466 0.036 0.373
O10 0.548 0.173 0.851
O11 0.599 0.886 0.870
O12 0.629 0.515 0.826
O13 0.670 0.074 0.642
O14 0.691 0.711 0.602
O15 0.747 0.422 0.615
O16 0.825 0.582 0.094